Entry 1:
The following is a simulated X-ray diffraction stick pattern of Li3Ag. It was derived from a DFT-relaxed cell (PBE, the Materials Project), using Cu Ka.
Peak positions follow from Bragg's law for the DFT cell and can differ from measured ones.

Main lines, most intense first (2θ from 10° to 90°):
h k l	d/Å	intensity
1 1 1	3.727	100.0
2 2 0	2.283	55.9
2 0 0	3.228	52.1
3 1 1	1.947	47.8
3 3 1	1.481	18.7
4 2 2	1.318	17.9
4 2 0	1.444	17.1
5 3 1	1.091	14.5

Structural model:
a = 6.456 Å, b = 6.456 Å, c = 6.456 Å
α = 90.00°, β = 90.00°, γ = 90.00°
Space group Fm-3m (No. 225)
Unique sites:
Li: 0.000 0.000 0.000 (multiplicity 4)
Li: 0.250 0.250 0.250 (multiplicity 8)
Ag: 0.000 0.000 0.500 (multiplicity 4)

=====

Entry 2:
The following is a simulated X-ray diffraction stick pattern of Nb3Tl2Cl9. It was derived from a DFT-relaxed cell (PBE, the Materials Project), using Cu Ka.
Peak positions follow from Bragg's law for the DFT cell and can differ from measured ones.

Main lines, most intense first (2θ from 10° to 90°):
h k l	d/Å	intensity
1 3 0	4.826	100.0
1 3 -2	3.688	93.8
2 4 1	2.724	77.2
2 0 -1	5.217	62.8
1 1 1	5.133	56.5
0 2 1	6.090	55.6
1 1 -1	7.636	53.5
2 0 1	3.573	42.8

Structural model:
a = 10.501 Å, b = 16.833 Å, c = 9.792 Å
α = 90.00°, β = 115.72°, γ = 90.00°
Space group C2/m (No. 12)
Unique sites:
Nb: 0.115 0.000 0.371 (multiplicity 4)
Nb: 0.133 0.087 0.641 (multiplicity 8)
Tl: 0.111 0.340 0.829 (multiplicity 8)
Cl: 0.000 0.207 0.500 (multiplicity 4)
Cl: 0.021 0.104 0.816 (multiplicity 8)
Cl: 0.186 0.500 0.168 (multiplicity 4)
Cl: 0.197 0.302 0.179 (multiplicity 8)
Cl: 0.208 0.396 0.486 (multiplicity 8)
Cl: 0.240 0.500 0.788 (multiplicity 4)

=====

Entry 3:
The following is a simulated X-ray diffraction stick pattern of H3S. It was derived from a DFT-relaxed cell (PBE, the Materials Project), using Cu Ka.
Peak positions follow from Bragg's law for the DFT cell and can differ from measured ones.

Main lines, most intense first (2θ from 10° to 90°):
h k l	d/Å	intensity
3 1 1	3.189	100.0
1 3 1	3.230	97.7
0 2 0	6.473	34.2
2 0 0	6.308	32.8
0 0 2	2.641	24.8
2 4 0	2.879	22.1
4 2 0	2.835	19.8
2 4 1	2.528	18.8

Structural model:
a = 12.615 Å, b = 12.945 Å, c = 5.282 Å
α = 90.00°, β = 90.00°, γ = 90.00°
Space group Cccm (No. 66)
Unique sites:
H: 0.000 0.000 0.179 (multiplicity 8)
H: 0.030 0.500 0.250 (multiplicity 8)
H: 0.153 0.308 0.000 (multiplicity 8)
H: 0.168 0.167 0.248 (multiplicity 16)
H: 0.186 0.343 0.500 (multiplicity 8)
S: 0.104 0.215 0.000 (multiplicity 8)
S: 0.220 0.106 0.500 (multiplicity 8)

=====

Entry 4:
The following is a simulated X-ray diffraction stick pattern of Sn7Ru3. It was derived from a DFT-relaxed cell (PBE, the Materials Project), using Cu Ka.
Peak positions follow from Bragg's law for the DFT cell and can differ from measured ones.

Main lines, most intense first (2θ from 10° to 90°):
h k l	d/Å	intensity
3 3 0	2.234	100.0
3 2 1	2.533	43.2
2 2 2	2.736	42.1
6 3 3	1.290	38.7
3 1 0	2.997	31.7
6 0 0	1.580	20.1
7 4 1	1.167	18.9
4 2 2	1.935	18.7

Structural model:
a = 9.478 Å, b = 9.478 Å, c = 9.478 Å
α = 90.00°, β = 90.00°, γ = 90.00°
Space group Im-3m (No. 229)
Unique sites:
Sn: 0.000 0.250 0.500 (multiplicity 12)
Sn: 0.161 0.161 0.161 (multiplicity 16)
Ru: 0.000 0.000 0.345 (multiplicity 12)

=====

Entry 5:
The following is a simulated X-ray diffraction stick pattern of Tm4MgS7. It was derived from a DFT-relaxed cell (PBE, the Materials Project), using Cu Ka.
Peak positions follow from Bragg's law for the DFT cell and can differ from measured ones.

Main lines, most intense first (2θ from 10° to 90°):
h k l	d/Å	intensity
2 0 2	3.630	100.0
4 0 -1	3.118	93.0
2 0 -3	3.565	92.2
3 1 0	2.747	68.2
3 1 1	2.561	62.9
3 1 -2	2.649	50.4
3 1 -1	2.782	50.1
1 1 4	2.108	45.4

Structural model:
a = 12.479 Å, b = 3.759 Å, c = 11.384 Å
α = 90.00°, β = 104.81°, γ = 90.00°
Space group Cm (No. 8)
Unique sites:
Tm: 0.000 0.000 0.000 (multiplicity 2)
Tm: 0.080 0.500 0.366 (multiplicity 2)
Tm: 0.193 0.500 0.802 (multiplicity 2)
Tm: 0.387 0.000 0.600 (multiplicity 2)
Mg: 0.308 0.500 0.218 (multiplicity 2)
S: 0.034 0.000 0.746 (multiplicity 2)
S: 0.157 0.500 0.019 (multiplicity 2)
S: 0.197 0.000 0.296 (multiplicity 2)
S: 0.231 0.500 0.582 (multiplicity 2)
S: 0.354 0.000 0.848 (multiplicity 2)
S: 0.428 0.000 0.150 (multiplicity 2)
S: 0.450 0.500 0.439 (multiplicity 2)

=====

Entry 6:
The following is a simulated X-ray diffraction stick pattern of HgS. It was derived from a DFT-relaxed cell (PBE, the Materials Project), using Cu Ka.
Peak positions follow from Bragg's law for the DFT cell and can differ from measured ones.

Main lines, most intense first (2θ from 10° to 90°):
h k l	d/Å	intensity
2 0 0	2.791	100.0
1 1 1	3.222	96.9
2 2 0	1.973	73.5
3 1 1	1.683	48.4
4 2 0	1.248	33.7
4 2 2	1.139	26.3
2 2 2	1.611	25.7
3 3 1	1.280	20.2

Structural model:
a = 5.582 Å, b = 5.582 Å, c = 5.582 Å
α = 90.00°, β = 90.00°, γ = 90.00°
Space group Fm-3m (No. 225)
Unique sites:
Hg: 0.000 0.000 0.000 (multiplicity 4)
S: 0.000 0.000 0.500 (multiplicity 4)